No. 1
Structure and simulated powder diffraction line list of HfH24C8N2Cl6 (a cell relaxed with GGA-PBE; Cu Kα X-rays).

Atomic structure:
Cell lengths 12.8820, 12.8820, 12.8820 Å; angles 90.00, 90.00, 90.00 degrees
Space group Fm-3m (No. 225)
Asymmetric unit:
Hf: 0.0000 0.0000 0.0000 [4 per cell]
H: 0.1341 0.1341 0.2671 [96 per cell]
C: 0.1828 0.1828 0.3172 [32 per cell]
N: 0.2500 0.2500 0.2500 [8 per cell]
Cl: 0.0000 0.0000 0.1910 [24 per cell]

Principal peaks in the range 15 to 90 degrees two-theta, in order of rising 2θ:
- (2 2 0), 19.49 deg, intensity 100
- (3 1 1), 22.90 deg, intensity 94
- (4 0 0), 27.70 deg, intensity 50
- (4 2 0), 31.05 deg, intensity 49
- (5 1 1), 36.23 deg, intensity 70
- (4 4 0), 39.58 deg, intensity 26
- (5 3 1), 41.47 deg, intensity 65
- (6 0 0), 42.09 deg, intensity 29
- (5 5 1), 50.60 deg, intensity 45
- (6 4 2), 53.21 deg, intensity 24
- (5 5 3), 54.73 deg, intensity 28
- (5 5 5), 62.43 deg, intensity 25

No. 2
Structure and simulated powder diffraction line list of KHgH2C2N2ClO (a cell relaxed with GGA-PBE; Cu Kα X-rays).

Atomic structure:
Cell lengths 8.8627, 4.1092, 18.8188 Å; angles 90.00, 90.00, 90.00 degrees
Space group Pnma (No. 62)
Asymmetric unit:
K: 0.2195 0.2500 0.0201 [4 per cell]
Hg: 0.0180 0.2500 0.7481 [4 per cell]
H: 0.1209 0.2500 0.4257 [4 per cell]
H: 0.2372 0.7500 0.8792 [4 per cell]
C: 0.0142 0.7500 0.1435 [4 per cell]
C: 0.0477 0.2500 0.6394 [4 per cell]
N: 0.0316 0.7500 0.0819 [4 per cell]
N: 0.0657 0.2500 0.5778 [4 per cell]
Cl: 0.2376 0.2500 0.2633 [4 per cell]
O: 0.2306 0.2500 0.4294 [4 per cell]

Principal peaks in the range 15 to 90 degrees two-theta, in order of rising 2θ:
- (0 0 4), 18.86 deg, intensity 54
- (2 0 0), 20.04 deg, intensity 18
- (2 0 2), 22.16 deg, intensity 100
- (0 1 3), 25.92 deg, intensity 24
- (0 0 6), 28.46 deg, intensity 21
- (2 1 1), 30.04 deg, intensity 98
- (2 1 3), 32.98 deg, intensity 29
- (2 1 5), 38.26 deg, intensity 55
- (4 0 4), 45.21 deg, intensity 35
- (4 1 3), 48.89 deg, intensity 17
- (2 1 9), 53.32 deg, intensity 22
- (2 3 1), 72.43 deg, intensity 17

No. 3
Structure and simulated powder diffraction line list of HgH6CNCl3 (a cell relaxed with GGA-PBE; Cu Kα X-rays).

Atomic structure:
Cell lengths 7.8564, 7.8564, 9.8312 Å; angles 90.00, 90.00, 120.00 degrees
Space group P3_2 (No. 145)
Asymmetric unit:
Hg: 0.9997 0.6531 0.0000 [3 per cell]
H: 0.0470 0.7925 0.3625 [3 per cell]
H: 0.1565 0.7901 0.5931 [3 per cell]
H: 0.1851 0.6225 0.4844 [3 per cell]
H: 0.2948 0.1461 0.1370 [3 per cell]
H: 0.4453 0.3306 0.0339 [3 per cell]
H: 0.4674 0.4506 0.2678 [3 per cell]
C: 0.0794 0.6543 0.5340 [3 per cell]
N: 0.3213 0.2795 0.0950 [3 per cell]
Cl: 0.0849 0.1734 0.5092 [3 per cell]
Cl: 0.1245 0.4196 0.8640 [3 per cell]
Cl: 0.5956 0.1998 0.4915 [3 per cell]

Principal peaks in the range 15 to 90 degrees two-theta, in order of rising 2θ:
- (1 0 1), 15.84 deg, intensity 100
- (0 1 2), 22.31 deg, intensity 40
- (1 1 0), 22.64 deg, intensity 41
- (2 0 2), 31.99 deg, intensity 40
- (2 -1 3), 35.68 deg, intensity 33
- (2 1 1), 36.10 deg, intensity 28
- (3 -2 2), 39.55 deg, intensity 19
- (3 0 0), 39.74 deg, intensity 10
- (0 2 4), 45.53 deg, intensity 13
- (3 0 3), 48.84 deg, intensity 12
- (4 -3 1), 49.16 deg, intensity 11
- (3 1 2), 51.90 deg, intensity 9

No. 4
Structure and simulated powder diffraction line list of HgH7CNCl3 (a cell relaxed with GGA-PBE; Cu Kα X-rays).

Atomic structure:
Cell lengths 8.0087, 8.0087, 10.7827 Å; angles 90.00, 90.00, 120.00 degrees
Space group P3_2 (No. 145)
Asymmetric unit:
Hg: 0.1187 0.7833 0.0000 [3 per cell]
H: 0.0202 0.8456 0.4458 [3 per cell]
H: 0.1072 0.7191 0.5386 [3 per cell]
H: 0.1219 0.6621 0.3181 [3 per cell]
H: 0.3635 0.2381 0.5152 [3 per cell]
H: 0.3729 0.2251 0.1897 [3 per cell]
H: 0.4206 0.3083 0.9684 [3 per cell]
H: 0.4909 0.0371 0.7246 [3 per cell]
C: 0.2968 0.2889 0.1429 [3 per cell]
N: 0.4090 0.3989 0.0325 [3 per cell]
Cl: 0.1798 0.5331 0.8541 [3 per cell]
Cl: 0.2530 0.0656 0.8155 [3 per cell]
Cl: 0.4588 0.1745 0.4492 [3 per cell]

Principal peaks in the range 15 to 90 degrees two-theta, in order of rising 2θ:
- (1 0 1), 15.19 deg, intensity 100
- (0 1 2), 20.87 deg, intensity 34
- (2 -1 1), 23.70 deg, intensity 25
- (2 0 0), 25.69 deg, intensity 18
- (2 -1 2), 27.75 deg, intensity 28
- (2 0 2), 30.65 deg, intensity 17
- (1 1 3), 33.50 deg, intensity 14
- (3 -2 1), 35.23 deg, intensity 22
- (0 2 3), 35.99 deg, intensity 25
- (2 1 2), 38.17 deg, intensity 19
- (0 3 2), 42.52 deg, intensity 15
- (1 2 4), 48.45 deg, intensity 13

No. 5
Structure and simulated powder diffraction line list of HgH16C6N4Cl2 (a cell relaxed with GGA-PBE; Cu Kα X-rays).

Atomic structure:
Cell lengths 8.5229, 9.0996, 16.1473 Å; angles 90.00, 94.67, 90.00 degrees
Space group C2/c (No. 15)
Asymmetric unit:
Hg: 0.0000 0.1914 0.2500 [4 per cell]
H: 0.0088 0.3964 0.8182 [8 per cell]
H: 0.0324 0.1595 0.5587 [8 per cell]
H: 0.0946 0.1525 0.8634 [8 per cell]
H: 0.0989 0.1609 0.6619 [8 per cell]
H: 0.1123 0.4016 0.5980 [8 per cell]
H: 0.1315 0.3784 0.0029 [8 per cell]
H: 0.1436 0.4655 0.4374 [8 per cell]
H: 0.2500 0.1271 0.0832 [8 per cell]
C: 0.0001 0.3607 0.6175 [8 per cell]
C: 0.0473 0.1671 0.3765 [8 per cell]
C: 0.1393 0.4140 0.9384 [8 per cell]
N: 0.0094 0.1970 0.6177 [8 per cell]
N: 0.0739 0.1531 0.4482 [8 per cell]
Cl: 0.2485 0.3993 0.2362 [8 per cell]

Principal peaks in the range 15 to 90 degrees two-theta, in order of rising 2θ:
- (1 1 1), 15.60 deg, intensity 100
- (2 0 0), 20.92 deg, intensity 48
- (1 1 -3), 21.23 deg, intensity 75
- (0 0 4), 22.09 deg, intensity 33
- (1 1 3), 22.52 deg, intensity 100
- (2 2 0), 28.75 deg, intensity 43
- (2 2 -1), 28.96 deg, intensity 67
- (2 2 1), 29.63 deg, intensity 33
- (1 3 0), 31.31 deg, intensity 41
- (1 1 5), 32.07 deg, intensity 39
- (3 1 -1), 33.16 deg, intensity 33
- (4 0 -2), 43.19 deg, intensity 42

No. 6
Structure and simulated powder diffraction line list of Hg2H10C3NCl5 (a cell relaxed with GGA-PBE; Cu Kα X-rays).

Atomic structure:
Cell lengths 6.2463, 10.0585, 10.9417 Å; angles 94.09, 105.01, 98.53 degrees
Space group P-1 (No. 2)
Asymmetric unit:
Hg: 0.0793 0.3894 0.1614 [2 per cell]
Hg: 0.3148 0.6298 0.5715 [2 per cell]
H: 0.1008 0.0444 0.6939 [2 per cell]
H: 0.1452 0.2176 0.6612 [2 per cell]
H: 0.2577 0.0929 0.5826 [2 per cell]
H: 0.2638 0.1430 0.9214 [2 per cell]
H: 0.3033 0.9423 0.1294 [2 per cell]
H: 0.3389 0.3100 0.8804 [2 per cell]
H: 0.4211 0.9545 0.8297 [2 per cell]
H: 0.4399 0.0121 0.2923 [2 per cell]
H: 0.4478 0.7730 0.0278 [2 per cell]
H: 0.4551 0.7771 0.2501 [2 per cell]
C: 0.2174 0.1250 0.6705 [2 per cell]
C: 0.3942 0.2127 0.8964 [2 per cell]
C: 0.4646 0.9712 0.2025 [2 per cell]
N: 0.4303 0.1524 0.7763 [2 per cell]
Cl: 0.0034 0.1506 0.1254 [2 per cell]
Cl: 0.1025 0.6255 0.1516 [2 per cell]
Cl: 0.1933 0.3943 0.4404 [2 per cell]
Cl: 0.3278 0.8331 0.4697 [2 per cell]
Cl: 0.4118 0.5832 0.7959 [2 per cell]

Principal peaks in the range 15 to 90 degrees two-theta, in order of rising 2θ:
- (1 -1 0), 16.02 deg, intensity 23
- (0 2 -1), 18.95 deg, intensity 35
- (0 2 1), 20.73 deg, intensity 42
- (-1 1 2), 21.00 deg, intensity 47
- (1 1 1), 22.58 deg, intensity 34
- (0 0 3), 25.45 deg, intensity 41
- (1 0 2), 25.52 deg, intensity 43
- (0 1 -3), 26.01 deg, intensity 46
- (2 0 -1), 28.95 deg, intensity 100
- (0 4 0), 36.39 deg, intensity 46
- (0 2 -4), 36.89 deg, intensity 22
- (2 2 0), 37.94 deg, intensity 24